This entry pairs a crystal structure of Pr2InPb3 with its theoretical XRD peak list. Radiation: Cu Kα X-rays. Structure: the PBE geometry in Alexandria.

Structure:
a b c (Å): 4.6639 15.8520 4.8334
angles (deg): 90.00 90.00 90.00
Space group Cmmm (No. 65)
Unique sites:
Pr: 0.0000 0.1485 0.0000
In: 0.0000 0.0000 0.5000
Pb: 0.0000 0.3256 0.5000
Pb: 0.0000 0.5000 0.0000

The 10 most intense peaks (5 to 70 degrees two-theta), sorted by position:
(1 3 1), 31.6°, rel. 100
(0 6 0), 33.9°, rel. 18
(0 0 2), 37.2°, rel. 17
(2 0 0), 38.6°, rel. 15
(0 6 2), 51.2°, rel. 12
(2 0 2), 54.7°, rel. 11
(1 9 1), 59.2°, rel. 12
(1 3 3), 63.6°, rel. 14
(3 3 1), 65.5°, rel. 13
(2 6 2), 65.9°, rel. 11